[1]
Sr2Ca6Mn5Fe3O24: theoretical powder XRD pattern (a wavelength of 1.5418 Å), based on a structure optimized by DFT (GGA+U).

Structural model:
```
40
Lattice="7.7222 0.0000 0.0000 0.0000 5.4333 5.4352 0.0000 -5.4333 5.4352" Properties=species:S:1:pos:R:3 pbc="T T T"
Sr 1.9270 0.0000 0.0000
Sr 5.7952 0.0000 0.0000
Ca 1.9208 2.7070 8.1592
Ca 1.9208 -2.7070 8.1592
Ca 1.9238 0.0000 5.4521
Ca 5.8014 2.7070 8.1592
Ca 5.8014 -2.7070 8.1592
Ca 5.7984 0.0000 5.4521
Mn 0.0000 0.0000 2.7342
Mn 0.0000 -2.7036 5.4418
Mn 0.0000 2.7036 5.4418
Mn 0.0000 0.0000 8.1505
Mn 3.8611 0.0000 8.1485
Fe 3.8611 0.0000 2.7392
Fe 3.8611 -2.7023 5.4423
Fe 3.8611 2.7023 5.4423
O 0.0000 -1.3932 1.4058
O 0.0000 -4.0381 4.0449
O 0.0000 -1.3486 4.0870
O 0.0000 1.3932 1.4058
O 0.0000 1.3486 4.0870
O 0.0000 -1.3507 6.7937
O 0.0000 4.0381 4.0449
O 0.0000 1.3507 6.7937
O 1.8995 -2.6753 5.4425
O 1.8995 2.6753 5.4425
O 1.9111 0.0000 2.7688
O 1.9286 0.0000 8.1137
O 3.8611 -1.3798 1.4032
O 3.8611 -1.3403 4.0877
O 3.8611 1.3798 1.4032
O 3.8611 1.3403 4.0877
O 3.8611 -1.3347 6.8021
O 3.8611 -1.3749 9.4720
O 3.8611 1.3347 6.8021
O 3.8611 1.3749 9.4720
O 5.7936 0.0000 8.1137
O 5.8110 0.0000 2.7688
O 5.8227 -2.6753 5.4425
O 5.8227 2.6753 5.4425
```

Top 6 peaks for 2θ = 5–70°, sorted by position:
32.91 deg, d 2.721, rel. 100.0
47.07 deg, d 1.931, rel. 16.0
47.31 deg, d 1.921, rel. 31.3
58.66 deg, d 1.574, rel. 12.0
58.82 deg, d 1.570, rel. 23.8
68.96 deg, d 1.362, rel. 17.0

---

[2]
Sr3Ca5Mn7FeO24: theoretical powder XRD pattern (a wavelength of 1.5418 Å), based on a structure optimized by DFT (GGA+U).

Structural model:
```
40
Lattice="5.4435 -5.4436 0.0000 5.4435 5.4436 0.0000 -0.0004 0.0000 7.6976" Properties=species:S:1:pos:R:3 pbc="T T T"
Sr 0.0000 0.0000 0.0000
Sr 2.7224 2.7228 7.6975
Sr 2.7224 -2.7228 7.6975
Ca 0.0002 0.0000 3.8496
Ca 2.7226 2.7224 3.8496
Ca 2.7226 -2.7224 3.8496
Ca 5.4452 0.0000 0.0003
Ca 5.4450 0.0000 3.8496
Mn 2.7265 0.0000 1.9334
Mn 2.7264 0.0000 5.7655
Mn 5.4443 2.7178 1.9331
Mn 5.4441 2.7180 5.7658
Mn 5.4443 -2.7178 1.9331
Mn 5.4441 -2.7180 5.7658
Mn 8.1623 0.0000 1.9326
Fe 8.1619 0.0000 5.7652
O 1.3638 1.3598 1.9524
O 1.3661 1.3576 5.7463
O 4.0871 4.0780 1.9524
O 4.1004 4.0640 5.7465
O 1.3638 -1.3598 1.9524
O 1.3661 -1.3576 5.7463
O 2.7234 0.0000 3.8472
O 5.4444 2.7208 3.8438
O 2.7420 0.0000 0.0028
O 4.0887 1.3477 5.7592
O 4.0915 1.3500 1.9395
O 5.4445 2.7028 0.0060
O 6.7782 1.3694 5.7584
O 4.0887 -1.3477 5.7592
O 6.7918 1.3557 1.9396
O 4.0915 -1.3500 1.9395
O 5.4445 -2.7028 0.0060
O 6.7782 -1.3694 5.7584
O 6.7918 -1.3557 1.9396
O 8.1478 0.0000 0.0273
O 4.0871 -4.0780 1.9524
O 4.1004 -4.0640 5.7465
O 5.4444 -2.7208 3.8438
O 8.1643 0.0000 3.8231
```

Top 6 peaks for 2θ = 5–70°, sorted by position:
11.50 deg, d 7.698, rel. 5.7
32.91 deg, d 2.722, rel. 100.0
40.60 deg, d 2.222, rel. 9.7
47.23 deg, d 1.925, rel. 45.7
58.76 deg, d 1.571, rel. 36.0
69.01 deg, d 1.361, rel. 24.9